For Dy2Cu5Si4, the PBE geometry in Alexandria gives the computed powder diffractogram in this record (Cu Kα, 1.54184 Å).
Kinematic intensities with the Lorentz-polarization factor, no thermal factor.

Main lines, by angle (5 to 70 degrees two-theta):
| d [Å] | 2θ (°) | Rel. int. |
| --- | --- | --- |
| 3.297 | 27.0 | 100 |
| 2.763 | 32.4 | 78 |
| 2.617 | 34.3 | 21 |
| 2.352 | 38.3 | 95 |
| 2.309 | 39.0 | 98 |
| 2.287 | 39.4 | 32 |
| 2.151 | 42.0 | 60 |
| 1.625 | 56.7 | 27 |
| 1.590 | 58.0 | 16 |
| 1.567 | 59.0 | 18 |
| 1.485 | 62.6 | 21 |
| 1.395 | 67.1 | 31 |

Structure:
Cell lengths 8.305, 7.455, 5.333 Å; angles 79.09, 61.82, 39.09 degrees
Atoms (fractional coordinates):
Dy1 0.146 0.146 0.854
Dy2 0.854 0.854 0.146
Cu1 0.000 0.000 0.500
Cu2 0.250 0.250 0.250
Cu3 0.500 0.500 0.000
Cu4 0.500 0.500 0.500
Cu5 0.750 0.750 0.750
Si1 0.225 0.498 0.502
Si2 0.498 0.225 0.775
Si3 0.502 0.775 0.225
Si4 0.775 0.502 0.498

For DyCu12Si4, the PBE geometry in Alexandria gives the computed powder diffractogram in this record (Cu Kα, 1.54184 Å).
Kinematic intensities with the Lorentz-polarization factor, no thermal factor.

Main lines, by angle (5 to 70 degrees two-theta):
| d [Å] | 2θ (°) | Rel. int. |
| --- | --- | --- |
| 5.732 | 15.5 | 4 |
| 4.053 | 21.9 | 5 |
| 3.310 | 26.9 | 5 |
| 2.866 | 31.2 | 3 |
| 2.564 | 35.0 | 100 |
| 2.167 | 41.7 | 50 |
| 1.813 | 50.3 | 4 |
| 1.655 | 55.5 | 18 |
| 1.590 | 58.0 | 36 |
| 1.480 | 62.8 | 3 |
| 1.390 | 67.4 | 5 |
| 1.351 | 69.6 | 12 |

Structure:
Cell lengths 7.021, 7.021, 7.021 Å; angles 109.47, 109.47, 109.47 degrees
Atoms (fractional coordinates):
Dy1 0.000 0.000 0.000
Cu1 0.156 0.507 0.351
Cu2 0.156 0.805 0.649
Cu3 0.195 0.351 0.844
Cu4 0.351 0.156 0.507
Cu5 0.351 0.844 0.195
Cu6 0.493 0.649 0.844
Cu7 0.507 0.351 0.156
Cu8 0.649 0.156 0.805
Cu9 0.649 0.844 0.493
Cu10 0.805 0.649 0.156
Cu11 0.844 0.195 0.351
Cu12 0.844 0.493 0.649
Si1 0.000 0.000 0.500
Si2 0.000 0.500 0.000
Si3 0.500 0.000 0.000
Si4 0.500 0.500 0.500

For TbDy2Cu2Si2, the PBE geometry in Alexandria gives the computed powder diffractogram in this record (Cu Kα, 1.54184 Å).
Kinematic intensities with the Lorentz-polarization factor, no thermal factor.

Main lines, by angle (5 to 70 degrees two-theta):
| d [Å] | 2θ (°) | Rel. int. |
| --- | --- | --- |
| 3.542 | 25.1 | 15 |
| 3.512 | 25.4 | 49 |
| 3.450 | 25.8 | 16 |
| 3.230 | 27.6 | 29 |
| 2.792 | 32.1 | 54 |
| 2.644 | 33.9 | 100 |
| 2.367 | 38.0 | 34 |
| 2.040 | 44.4 | 67 |
| 1.769 | 51.7 | 21 |
| 1.656 | 55.5 | 13 |
| 1.615 | 57.0 | 22 |
| 1.472 | 63.2 | 18 |

Structure:
Cell lengths 10.884, 10.884, 10.884 Å; angles 21.61, 21.61, 21.61 degrees
Atoms (fractional coordinates):
Tb1 0.000 0.000 0.000
Dy1 0.120 0.120 0.120
Dy2 0.880 0.880 0.880
Cu1 0.395 0.395 0.395
Cu2 0.605 0.605 0.605
Si1 0.272 0.272 0.272
Si2 0.728 0.728 0.728

For Sm2DyCu3, the PBE geometry in Alexandria gives the computed powder diffractogram in this record (Cu Kα, 1.54184 Å).
Kinematic intensities with the Lorentz-polarization factor, no thermal factor.

Main lines, by angle (5 to 70 degrees two-theta):
| d [Å] | 2θ (°) | Rel. int. |
| --- | --- | --- |
| 10.595 | 8.3 | 1 |
| 3.532 | 25.2 | 9 |
| 3.511 | 25.4 | 18 |
| 2.490 | 36.1 | 100 |
| 2.483 | 36.2 | 50 |
| 2.031 | 44.6 | 8 |
| 1.766 | 51.8 | 9 |
| 1.755 | 52.1 | 17 |
| 1.577 | 58.5 | 4 |
| 1.571 | 58.8 | 8 |
| 1.439 | 64.8 | 17 |
| 1.435 | 65.0 | 35 |

Structure:
Cell lengths 3.511, 3.511, 10.595 Å; angles 90.00, 90.00, 90.00 degrees
Atoms (fractional coordinates):
Sm1 0.000 0.000 0.169
Sm2 0.000 0.000 0.831
Dy1 0.000 0.000 0.500
Cu1 0.500 0.500 0.000
Cu2 0.500 0.500 0.342
Cu3 0.500 0.500 0.658

For DyCu9Sn2, the PBE geometry in Alexandria gives the computed powder diffractogram in this record (Cu Kα, 1.54184 Å).
Kinematic intensities with the Lorentz-polarization factor, no thermal factor.

Main lines, by angle (5 to 70 degrees two-theta):
| d [Å] | 2θ (°) | Rel. int. |
| --- | --- | --- |
| 2.682 | 33.4 | 24 |
| 2.570 | 34.9 | 20 |
| 2.494 | 36.0 | 16 |
| 2.362 | 38.1 | 100 |
| 2.150 | 42.0 | 23 |
| 2.128 | 42.5 | 32 |
| 2.084 | 43.4 | 68 |
| 2.057 | 44.0 | 25 |
| 1.999 | 45.4 | 12 |
| 1.897 | 48.0 | 15 |
| 1.413 | 66.1 | 23 |
| 1.384 | 67.7 | 13 |

Structure:
Cell lengths 8.482, 8.482, 4.989 Å; angles 90.00, 90.00, 90.00 degrees
Atoms (fractional coordinates):
Dy1 0.000 0.000 0.000
Dy2 0.500 0.500 0.000
Cu1 0.000 0.500 0.500
Cu2 0.065 0.202 0.500
Cu3 0.173 0.673 0.246
Cu4 0.173 0.673 0.754
Cu5 0.202 0.935 0.500
Cu6 0.298 0.435 0.500
Cu7 0.327 0.173 0.246
Cu8 0.327 0.173 0.754
Cu9 0.435 0.702 0.500
Cu10 0.500 0.000 0.500
Cu11 0.565 0.298 0.500
Cu12 0.673 0.827 0.246
Cu13 0.673 0.827 0.754
Cu14 0.702 0.565 0.500
Cu15 0.798 0.065 0.500
Cu16 0.827 0.327 0.246
Cu17 0.827 0.327 0.754
Cu18 0.935 0.798 0.500
Sn1 0.130 0.370 0.000
Sn2 0.370 0.870 0.000
Sn3 0.630 0.130 0.000
Sn4 0.870 0.630 0.000

For Dy4Cu7Sn11, the PBE geometry in Alexandria gives the computed powder diffractogram in this record (Cu Kα, 1.54184 Å).
Kinematic intensities with the Lorentz-polarization factor, no thermal factor.

Main lines, by angle (5 to 70 degrees two-theta):
| d [Å] | 2θ (°) | Rel. int. |
| --- | --- | --- |
| 3.134 | 28.5 | 15 |
| 3.037 | 29.4 | 62 |
| 2.800 | 32.0 | 34 |
| 2.784 | 32.1 | 28 |
| 2.505 | 35.8 | 100 |
| 2.358 | 38.2 | 17 |
| 2.214 | 40.8 | 85 |
| 1.957 | 46.4 | 15 |
| 1.659 | 55.4 | 16 |
| 1.565 | 59.0 | 26 |
| 1.401 | 66.8 | 17 |
| 1.391 | 67.3 | 15 |

Structure:
Cell lengths 4.427, 4.427, 25.071 Å; angles 90.00, 90.00, 90.00 degrees
Atoms (fractional coordinates):
Dy1 0.000 0.000 0.000
Dy2 0.000 0.000 0.318
Dy3 0.500 0.500 0.492
Dy4 0.500 0.500 0.812
Cu1 0.000 0.000 0.447
Cu2 0.000 0.000 0.540
Cu3 0.000 0.500 0.406
Cu4 0.000 0.500 0.898
Cu5 0.500 0.000 0.406
Cu6 0.500 0.000 0.898
Cu7 0.500 0.500 0.051
Sn1 0.000 0.000 0.836
Sn2 0.000 0.500 0.107
Sn3 0.000 0.500 0.223
Sn4 0.000 0.500 0.598
Sn5 0.000 0.500 0.715
Sn6 0.500 0.000 0.107
Sn7 0.500 0.000 0.223
Sn8 0.500 0.000 0.598
Sn9 0.500 0.000 0.715
Sn10 0.500 0.500 0.347
Sn11 0.500 0.500 0.952

For Dy5Cu2Sn, the PBE geometry in Alexandria gives the computed powder diffractogram in this record (Cu Kα, 1.54184 Å).
Kinematic intensities with the Lorentz-polarization factor, no thermal factor.

Main lines, by angle (5 to 70 degrees two-theta):
| d [Å] | 2θ (°) | Rel. int. |
| --- | --- | --- |
| 3.399 | 26.2 | 26 |
| 2.819 | 31.7 | 28 |
| 2.783 | 32.2 | 13 |
| 2.739 | 32.7 | 100 |
| 2.515 | 35.7 | 34 |
| 2.489 | 36.1 | 65 |
| 1.749 | 52.3 | 11 |
| 1.686 | 54.4 | 13 |
| 1.650 | 55.7 | 12 |
| 1.613 | 57.1 | 21 |
| 1.386 | 67.6 | 16 |
| 1.366 | 68.7 | 13 |

Structure:
Cell lengths 8.587, 8.587, 8.587 Å; angles 125.44, 125.44, 80.80 degrees
Atoms (fractional coordinates):
Dy1 0.000 0.000 0.000
Dy2 0.014 0.514 0.813
Dy3 0.201 0.014 0.500
Dy4 0.299 0.799 0.813
Dy5 0.486 0.299 0.500
Dy6 0.500 0.500 0.000
Dy7 0.514 0.701 0.500
Dy8 0.701 0.201 0.187
Dy9 0.799 0.986 0.500
Dy10 0.986 0.486 0.187
Cu1 0.129 0.371 0.500
Cu2 0.371 0.871 0.243
Cu3 0.629 0.129 0.757
Cu4 0.871 0.629 0.500
Sn1 0.250 0.250 0.000
Sn2 0.750 0.750 0.000

For DyCuSnTe3, the PBE geometry in Alexandria gives the computed powder diffractogram in this record (Cu Kα, 1.54184 Å).
Kinematic intensities with the Lorentz-polarization factor, no thermal factor.

Main lines, by angle (5 to 70 degrees two-theta):
| d [Å] | 2θ (°) | Rel. int. |
| --- | --- | --- |
| 7.367 | 12.0 | 16 |
| 3.094 | 28.9 | 38 |
| 3.064 | 29.1 | 100 |
| 2.547 | 35.2 | 21 |
| 2.393 | 37.6 | 14 |
| 2.373 | 37.9 | 18 |
| 2.271 | 39.7 | 21 |
| 2.129 | 42.5 | 27 |
| 2.026 | 44.7 | 16 |
| 1.982 | 45.8 | 10 |
| 1.754 | 52.1 | 14 |
| 1.554 | 59.5 | 16 |

Structure:
Cell lengths 9.084, 4.259, 9.584 Å; angles 90.00, 104.43, 90.00 degrees
Atoms (fractional coordinates):
Dy1 0.175 0.250 0.170
Dy2 0.825 0.750 0.830
Cu1 0.425 0.750 0.427
Cu2 0.575 0.250 0.573
Sn1 0.316 0.750 0.764
Sn2 0.684 0.250 0.236
Te1 0.071 0.250 0.835
Te2 0.272 0.250 0.496
Te3 0.407 0.750 0.136
Te4 0.593 0.250 0.864
Te5 0.728 0.750 0.504
Te6 0.929 0.750 0.165

For Sr3Dy3CuTe8, the PBE geometry in Alexandria gives the computed powder diffractogram in this record (Cu Kα, 1.54184 Å).
Kinematic intensities with the Lorentz-polarization factor, no thermal factor.

Main lines, by angle (5 to 70 degrees two-theta):
| d [Å] | 2θ (°) | Rel. int. |
| --- | --- | --- |
| 7.538 | 11.7 | 22 |
| 3.205 | 27.8 | 100 |
| 3.158 | 28.3 | 42 |
| 2.293 | 39.3 | 32 |
| 2.276 | 39.6 | 19 |
| 2.257 | 39.9 | 19 |
| 2.208 | 40.9 | 32 |
| 1.885 | 48.3 | 10 |
| 1.846 | 49.4 | 17 |
| 1.792 | 51.0 | 9 |
| 1.603 | 57.5 | 12 |
| 1.438 | 64.8 | 13 |

Structure:
Cell lengths 8.838, 8.838, 9.042 Å; angles 118.25, 118.25, 61.99 degrees
Atoms (fractional coordinates):
Sr1 0.000 0.000 0.000
Sr2 0.000 0.500 0.000
Sr3 0.500 0.000 0.000
Dy1 0.000 0.500 0.500
Dy2 0.500 0.000 0.500
Dy3 0.500 0.500 0.500
Cu1 0.000 0.000 0.500
Te1 0.208 0.208 0.694
Te2 0.256 0.256 0.269
Te3 0.257 0.722 0.738
Te4 0.278 0.743 0.262
Te5 0.722 0.257 0.738
Te6 0.743 0.278 0.262
Te7 0.744 0.744 0.731
Te8 0.792 0.792 0.306

For TbDy4Cu, the PBE geometry in Alexandria gives the computed powder diffractogram in this record (Cu Kα, 1.54184 Å).
Kinematic intensities with the Lorentz-polarization factor, no thermal factor.

Main lines, by angle (5 to 70 degrees two-theta):
| d [Å] | 2θ (°) | Rel. int. |
| --- | --- | --- |
| 3.122 | 28.6 | 22 |
| 2.782 | 32.2 | 100 |
| 2.740 | 32.7 | 15 |
| 2.481 | 36.2 | 48 |
| 2.283 | 39.5 | 6 |
| 1.839 | 49.6 | 19 |
| 1.754 | 52.1 | 17 |
| 1.680 | 54.6 | 9 |
| 1.539 | 60.1 | 16 |
| 1.529 | 60.5 | 6 |
| 1.484 | 62.6 | 29 |
| 1.477 | 62.9 | 9 |

Structure:
Cell lengths 3.508, 3.508, 13.700 Å; angles 90.00, 90.00, 90.00 degrees
Atoms (fractional coordinates):
Tb1 0.000 0.000 0.000
Dy1 0.000 0.000 0.375
Dy2 0.000 0.000 0.625
Dy3 0.500 0.500 0.184
Dy4 0.500 0.500 0.816
Cu1 0.500 0.500 0.500

For Tb3Dy3Cu4, the PBE geometry in Alexandria gives the computed powder diffractogram in this record (Cu Kα, 1.54184 Å).
Kinematic intensities with the Lorentz-polarization factor, no thermal factor.

Main lines, by angle (5 to 70 degrees two-theta):
| d [Å] | 2θ (°) | Rel. int. |
| --- | --- | --- |
| 3.548 | 25.1 | 21 |
| 3.099 | 28.8 | 21 |
| 2.712 | 33.0 | 52 |
| 2.566 | 35.0 | 100 |
| 2.509 | 35.8 | 63 |
| 1.924 | 47.2 | 11 |
| 1.859 | 49.0 | 16 |
| 1.709 | 53.6 | 13 |
| 1.673 | 54.9 | 11 |
| 1.668 | 55.1 | 11 |
| 1.493 | 62.2 | 25 |
| 1.435 | 65.0 | 14 |

Structure:
Cell lengths 3.717, 7.933, 7.933 Å; angles 90.21, 90.00, 90.00 degrees
Atoms (fractional coordinates):
Tb1 0.000 0.000 0.000
Tb2 0.000 0.173 0.502
Tb3 0.000 0.502 0.173
Dy1 0.000 0.670 0.670
Dy2 0.500 0.337 0.838
Dy3 0.500 0.838 0.337
Cu1 0.500 0.215 0.215
Cu2 0.500 0.459 0.459
Cu3 0.500 0.713 0.957
Cu4 0.500 0.957 0.713

For Dy6CuTc2, the PBE geometry in Alexandria gives the computed powder diffractogram in this record (Cu Kα, 1.54184 Å).
Kinematic intensities with the Lorentz-polarization factor, no thermal factor.

Main lines, by angle (5 to 70 degrees two-theta):
| d [Å] | 2θ (°) | Rel. int. |
| --- | --- | --- |
| 2.999 | 29.8 | 12 |
| 2.793 | 32.0 | 100 |
| 2.637 | 34.0 | 52 |
| 2.567 | 35.0 | 41 |
| 2.556 | 35.1 | 17 |
| 2.542 | 35.3 | 41 |
| 2.515 | 35.7 | 15 |
| 2.394 | 37.6 | 31 |
| 2.312 | 39.0 | 11 |
| 2.218 | 40.7 | 14 |
| 1.694 | 54.1 | 12 |
| 1.555 | 59.4 | 39 |

Structure:
Cell lengths 8.392, 8.392, 8.392 Å; angles 111.68, 110.41, 106.37 degrees
Atoms (fractional coordinates):
Dy1 0.025 0.817 0.207
Dy2 0.230 0.530 0.301
Dy3 0.230 0.929 0.699
Dy4 0.280 0.314 0.594
Dy5 0.280 0.686 0.965
Dy6 0.390 0.183 0.207
Dy7 0.610 0.817 0.793
Dy8 0.720 0.314 0.035
Dy9 0.720 0.686 0.406
Dy10 0.770 0.071 0.301
Dy11 0.770 0.470 0.699
Dy12 0.975 0.183 0.793
Cu1 0.000 0.500 0.500
Cu2 0.500 0.000 0.500
Tc1 0.000 0.132 0.132
Tc2 0.000 0.868 0.868
Tc3 0.381 0.381 0.000
Tc4 0.619 0.619 0.000